Computed powder diffractogram of Tb5Y6 for Cu Kα, 1.54184 Å, from a GGA-PBE-relaxed structure.

Unit cell a=7.9371 b=7.9371 c=6.3444 alpha=99.95 beta=99.95 gamma=109.27
Sites, in units of the cell vectors:
Tb1 0.0000 0.0000 0.0000
Tb2 0.1274 0.8726 0.5000
Tb3 0.2590 0.7410 0.0000
Tb4 0.7410 0.2590 0.0000
Tb5 0.8726 0.1274 0.5000
Y1 0.1861 0.4542 0.3308
Y2 0.3327 0.3327 0.8154
Y3 0.4542 0.1861 0.3308
Y4 0.5458 0.8139 0.6692
Y5 0.6673 0.6673 0.1846
Y6 0.8139 0.5458 0.6692

Largest 10 diffraction maxima, low angle first, 10 to 90 degrees two-theta:
- 20.25°, I = 19
- 28.97°, I = 41
- 30.46°, I = 59
- 31.35°, I = 100
- 34.81°, I = 28
- 35.02°, I = 46
- 36.42°, I = 22
- 52.19°, I = 15
- 56.41°, I = 15
- 59.14°, I = 16


Computed powder diffractogram of Ac2PmDyHo for Cu Kα, 1.54184 Å, from a GGA-PBE-relaxed structure.

Unit cell a=6.4314 b=9.0144 c=6.6822 alpha=90.00 beta=90.00 gamma=90.00
Sites, in units of the cell vectors:
Ac1 0.2500 0.2027 0.2111
Ac2 0.2500 0.7973 0.2111
Ac3 0.7500 0.2027 0.7889
Ac4 0.7500 0.7973 0.7889
Pm1 0.2500 0.5000 0.9199
Pm2 0.7500 0.5000 0.0801
Dy1 0.2500 0.0000 0.6829
Dy2 0.7500 0.0000 0.3171
Ho1 0.0000 0.5000 0.5000
Ho2 0.5000 0.5000 0.5000

Largest 10 diffraction maxima, low angle first, 10 to 90 degrees two-theta:
- 27.61°, I = 100
- 27.74°, I = 26
- 28.49°, I = 30
- 31.77°, I = 20
- 32.46°, I = 22
- 33.38°, I = 20
- 35.61°, I = 26
- 38.87°, I = 21
- 43.38°, I = 18
- 48.99°, I = 21


Computed powder diffractogram of YTm2Zn9 for Cu Kα, 1.54184 Å, from a GGA-PBE-relaxed structure.

Unit cell a=9.0642 b=9.0642 c=9.0642 alpha=34.76 beta=34.76 gamma=34.76
Sites, in units of the cell vectors:
Y1 0.0000 0.0000 0.0000
Tm1 0.1402 0.1402 0.1402
Tm2 0.8598 0.8598 0.8598
Zn1 0.0765 0.5864 0.5864
Zn2 0.3349 0.3349 0.3349
Zn3 0.4136 0.4136 0.9235
Zn4 0.4136 0.9235 0.4136
Zn5 0.5000 0.5000 0.5000
Zn6 0.5864 0.0765 0.5864
Zn7 0.5864 0.5864 0.0765
Zn8 0.6651 0.6651 0.6651
Zn9 0.9235 0.4136 0.4136

Largest 10 diffraction maxima, low angle first, 10 to 90 degrees two-theta:
- 31.07°, I = 37
- 33.09°, I = 51
- 33.99°, I = 35
- 38.56°, I = 38
- 39.45°, I = 100
- 42.45°, I = 39
- 43.52°, I = 22
- 63.39°, I = 24
- 64.74°, I = 23
- 69.43°, I = 26


Computed powder diffractogram of TmPaInO6 for Cu Kα, 1.54184 Å, from a GGA-PBE-relaxed structure.

Unit cell a=5.5885 b=5.5885 c=4.7883 alpha=90.00 beta=90.00 gamma=120.00
Sites, in units of the cell vectors:
Tm1 0.0000 0.0000 0.0000
Pa1 0.6667 0.3333 0.5000
In1 0.3333 0.6667 0.0000
O1 0.3444 0.0062 0.2435
O2 0.3444 0.3382 0.7565
O3 0.6618 0.0062 0.7565
O4 0.6618 0.6556 0.2435
O5 0.9938 0.3382 0.2435
O6 0.9938 0.6556 0.7565

Largest 10 diffraction maxima, low angle first, 10 to 90 degrees two-theta:
- 26.18°, I = 100
- 32.03°, I = 46
- 41.83°, I = 29
- 50.18°, I = 38
- 53.63°, I = 29
- 57.09°, I = 15
- 61.14°, I = 10
- 73.23°, I = 11
- 79.42°, I = 10
- 79.74°, I = 9